For Tb2PrZrP4, a crystal structure in Alexandria, relaxed with PBE gives the calculated XRD peak list in this record (copper Kα).
Lines closer than 0.1° are merged.

Cell and atoms:
Cell lengths 6.9018, 3.9897, 6.9251 Å; angles 90.00, 109.24, 90.00 degrees
Element x y z (fractional)
Tb  0.0000  0.0000  0.0000
Tb  0.0000  0.5000  0.5000
Pr  0.5000  0.0000  0.5000
Zr  0.5000  0.5000  0.0000
P  0.2497  0.5000  0.2358
P  0.2586  0.0000  0.7656
P  0.7414  0.0000  0.2344
P  0.7503  0.5000  0.7642

Peak list (8 most intense, 10 to 80 degrees two-theta, sorted by position)
27.3°, d 3.264, rel. 39
27.4°, d 3.256, rel. 38
31.7°, d 2.823, rel. 100
45.4°, d 1.999, rel. 36
45.5°, d 1.994, rel. 36
53.8°, d 1.703, rel. 22
56.5°, d 1.629, rel. 19
75.3°, d 1.262, rel. 16

***

For CeNd4P5, a crystal structure in Alexandria, relaxed with PBE gives the calculated XRD peak list in this record (copper Kα).
Lines closer than 0.1° are merged.

Cell and atoms:
Cell lengths 7.1848, 7.1848, 7.1848 Å; angles 99.60, 99.60, 131.79 degrees
Element x y z (fractional)
Ce  0.0000  0.0000  0.0000
Nd  0.1992  0.4008  0.6000
Nd  0.4008  0.8008  0.2015
Nd  0.5992  0.1992  0.7985
Nd  0.8008  0.5992  0.4000
P  0.0975  0.7058  0.8033
P  0.2942  0.0975  0.3917
P  0.5000  0.5000  0.0000
P  0.7058  0.9025  0.6083
P  0.9025  0.2942  0.1967

Peak list (8 most intense, 10 to 80 degrees two-theta, sorted by position)
26.3°, d 3.387, rel. 79
30.5°, d 2.933, rel. 100
43.6°, d 2.074, rel. 73
51.7°, d 1.769, rel. 39
54.2°, d 1.694, rel. 26
63.4°, d 1.467, rel. 12
69.9°, d 1.346, rel. 16
72.0°, d 1.312, rel. 33

***

For SrCa5Bi6, a crystal structure in Alexandria, relaxed with PBE gives the calculated XRD peak list in this record (copper Kα).
Lines closer than 0.1° are merged.

Cell and atoms:
Cell lengths 5.7527, 7.8540, 8.6411 Å; angles 90.00, 99.78, 90.00 degrees
Element x y z (fractional)
Sr  0.0000  0.0000  0.0000
Ca  0.0000  0.5000  0.0000
Ca  0.3503  0.5000  0.6746
Ca  0.3522  0.0000  0.6727
Ca  0.6478  0.0000  0.3273
Ca  0.6497  0.5000  0.3254
Bi  0.1537  0.2527  0.3482
Bi  0.1537  0.7473  0.3482
Bi  0.5000  0.2559  0.0000
Bi  0.5000  0.7441  0.0000
Bi  0.8463  0.2527  0.6518
Bi  0.8463  0.7473  0.6518

Peak list (8 most intense, 10 to 80 degrees two-theta, sorted by position)
20.2°, d 4.388, rel. 49
22.6°, d 3.927, rel. 37
30.5°, d 2.926, rel. 100
31.5°, d 2.838, rel. 90
33.2°, d 2.701, rel. 78
39.2°, d 2.300, rel. 37
53.8°, d 1.703, rel. 40
57.0°, d 1.615, rel. 33

***

For Nb3I8, a crystal structure in Alexandria, relaxed with PBE gives the calculated XRD peak list in this record (copper Kα).
Lines closer than 0.1° are merged.

Cell and atoms:
Cell lengths 15.3646, 15.3646, 15.3646 Å; angles 28.97, 28.97, 28.97 degrees
Element x y z (fractional)
Nb  0.1551  0.5475  0.5475
Nb  0.4525  0.4525  0.8449
Nb  0.4525  0.8449  0.4525
Nb  0.5475  0.1551  0.5475
Nb  0.5475  0.5475  0.1551
Nb  0.8449  0.4525  0.4525
I  0.1157  0.1157  0.6233
I  0.1157  0.6233  0.1157
I  0.2089  0.7059  0.7059
I  0.2171  0.2171  0.2171
I  0.2941  0.2941  0.7911
I  0.2941  0.7911  0.2941
I  0.3681  0.3681  0.3681
I  0.3767  0.8843  0.8843
I  0.6233  0.1157  0.1157
I  0.6319  0.6319  0.6319
I  0.7059  0.2089  0.7059
I  0.7059  0.7059  0.2089
I  0.7829  0.7829  0.7829
I  0.7911  0.2941  0.2941
I  0.8843  0.3767  0.8843
I  0.8843  0.8843  0.3767

Peak list (8 most intense, 10 to 80 degrees two-theta, sorted by position)
12.0°, d 7.355, rel. 45
24.2°, d 3.678, rel. 29
28.7°, d 3.114, rel. 54
30.4°, d 2.943, rel. 100
33.7°, d 2.657, rel. 32
44.3°, d 2.047, rel. 37
47.3°, d 1.921, rel. 44
53.8°, d 1.703, rel. 25

***

For BaInCuAu6, a crystal structure in Alexandria, relaxed with PBE gives the calculated XRD peak list in this record (copper Kα).
Lines closer than 0.1° are merged.

Cell and atoms:
Cell lengths 9.4541, 9.4541, 9.4541 Å; angles 136.48, 124.64, 72.93 degrees
Element x y z (fractional)
Ba  0.3350  0.0850  0.2500
Ba  0.6650  0.9150  0.7500
In  0.0000  0.5000  0.5000
In  0.5000  0.5000  0.0000
Cu  0.0000  0.0000  0.5000
Cu  0.0000  0.5000  0.0000
Au  0.1201  0.8701  0.2500
Au  0.1368  0.4428  0.2706
Au  0.1368  0.8661  0.6940
Au  0.3278  0.1339  0.7706
Au  0.3278  0.5572  0.1940
Au  0.3777  0.6277  0.7500
Au  0.6223  0.3723  0.2500
Au  0.6722  0.4428  0.8060
Au  0.6722  0.8661  0.2294
Au  0.8632  0.1339  0.3060
Au  0.8632  0.5572  0.7294
Au  0.8799  0.1299  0.7500

Peak list (8 most intense, 10 to 80 degrees two-theta, sorted by position)
20.0°, d 4.445, rel. 29
23.4°, d 3.802, rel. 59
24.6°, d 3.615, rel. 30
28.0°, d 3.183, rel. 31
32.7°, d 2.739, rel. 71
40.6°, d 2.222, rel. 100
41.1°, d 2.196, rel. 69
47.8°, d 1.901, rel. 19

***

For BaCd6Ag2, a crystal structure in Alexandria, relaxed with PBE gives the calculated XRD peak list in this record (copper Kα).
Lines closer than 0.1° are merged.

Cell and atoms:
Cell lengths 4.6312, 4.6312, 10.5100 Å; angles 90.00, 90.00, 90.00 degrees
Element x y z (fractional)
Ba  0.0000  0.0000  0.0000
Cd  0.0000  0.0000  0.5000
Cd  0.0000  0.5000  0.2945
Cd  0.0000  0.5000  0.7055
Cd  0.5000  0.0000  0.2945
Cd  0.5000  0.0000  0.7055
Cd  0.5000  0.5000  0.5000
Ag  0.5000  0.5000  0.1329
Ag  0.5000  0.5000  0.8671

Peak list (8 most intense, 10 to 80 degrees two-theta, sorted by position)
32.0°, d 2.794, rel. 19
32.2°, d 2.779, rel. 100
37.6°, d 2.392, rel. 48
38.9°, d 2.316, rel. 61
56.2°, d 1.637, rel. 20
59.4°, d 1.556, rel. 13
66.2°, d 1.411, rel. 23
69.6°, d 1.351, rel. 14

***

For HoTeBrO4, a crystal structure in Alexandria, relaxed with PBE gives the calculated XRD peak list in this record (copper Kα).
Lines closer than 0.1° are merged.

Cell and atoms:
Cell lengths 6.4241, 6.4241, 7.0060 Å; angles 103.65, 103.65, 68.16 degrees
Element x y z (fractional)
Ho  0.2300  0.2300  0.1200
Ho  0.7700  0.7700  0.8800
Te  0.3654  0.3654  0.7316
Te  0.6346  0.6346  0.2684
Br  0.0073  0.0073  0.7574
Br  0.9927  0.9927  0.2426
O  0.1097  0.4827  0.8561
O  0.2941  0.2941  0.4630
O  0.4560  0.4560  0.1968
O  0.4827  0.1097  0.8561
O  0.5173  0.8903  0.1439
O  0.5440  0.5440  0.8032
O  0.7059  0.7059  0.5370
O  0.8903  0.5173  0.1439

Peak list (8 most intense, 10 to 80 degrees two-theta, sorted by position)
13.2°, d 6.715, rel. 29
17.4°, d 5.100, rel. 16
24.7°, d 3.599, rel. 100
26.5°, d 3.358, rel. 16
28.4°, d 3.147, rel. 20
28.6°, d 3.116, rel. 35
34.1°, d 2.630, rel. 33
35.3°, d 2.545, rel. 15

***

For Re3AsIr, a crystal structure in Alexandria, relaxed with PBE gives the calculated XRD peak list in this record (copper Kα).
Lines closer than 0.1° are merged.

Cell and atoms:
Cell lengths 4.4675, 4.4675, 4.4675 Å; angles 90.00, 90.00, 90.00 degrees
Element x y z (fractional)
Re  0.0000  0.0000  0.5000
Re  0.0000  0.5000  0.0000
Re  0.5000  0.0000  0.0000
As  0.0000  0.0000  0.0000
Ir  0.5000  0.5000  0.5000

Peak list (8 most intense, 10 to 80 degrees two-theta, sorted by position)
19.9°, d 4.468, rel. 4
28.2°, d 3.159, rel. 4
34.8°, d 2.579, rel. 100
40.4°, d 2.234, rel. 76
45.4°, d 1.998, rel. 2
58.4°, d 1.580, rel. 52
69.8°, d 1.347, rel. 41
73.4°, d 1.290, rel. 18

***

For Rb2PbCl3, a crystal structure in Alexandria, relaxed with PBE gives the calculated XRD peak list in this record (copper Kα).
Lines closer than 0.1° are merged.

Cell and atoms:
Cell lengths 7.6989, 7.6989, 9.9137 Å; angles 108.80, 108.80, 50.77 degrees
Element x y z (fractional)
Rb  0.1699  0.1704  0.0851
Rb  0.1704  0.1699  0.5851
Rb  0.8296  0.8301  0.4149
Rb  0.8301  0.8296  0.9149
Pb  0.4986  0.5014  0.7500
Pb  0.5014  0.4986  0.2500
Cl  0.0032  0.9968  0.2500
Cl  0.3539  0.3544  0.4272
Cl  0.3544  0.3539  0.9272
Cl  0.6456  0.6461  0.0728
Cl  0.6461  0.6456  0.5728
Cl  0.9968  0.0032  0.7500

Peak list (8 most intense, 10 to 80 degrees two-theta, sorted by position)
15.1°, d 5.885, rel. 27
22.4°, d 3.964, rel. 48
24.6°, d 3.622, rel. 40
27.0°, d 3.300, rel. 53
27.3°, d 3.262, rel. 100
38.8°, d 2.320, rel. 38
38.8°, d 2.319, rel. 43
63.1°, d 1.473, rel. 25

***

For NaO3, a crystal structure in Alexandria, relaxed with PBE gives the calculated XRD peak list in this record (copper Kα).
Lines closer than 0.1° are merged.

Cell and atoms:
Cell lengths 4.5903, 4.5903, 6.2946 Å; angles 105.73, 105.73, 93.87 degrees
Element x y z (fractional)
Na  0.1464  0.8536  0.7500
Na  0.8536  0.1464  0.2500
O  0.0425  0.6788  0.3231
O  0.2950  0.7050  0.2500
O  0.3212  0.9575  0.1769
O  0.6788  0.0425  0.8231
O  0.7050  0.2950  0.7500
O  0.9575  0.3212  0.6769

Peak list (8 most intense, 10 to 80 degrees two-theta, sorted by position)
20.3°, d 4.367, rel. 56
26.6°, d 3.354, rel. 75
29.1°, d 3.067, rel. 41
31.0°, d 2.889, rel. 100
31.1°, d 2.877, rel. 32
39.5°, d 2.283, rel. 57
41.2°, d 2.189, rel. 24
53.1°, d 1.725, rel. 47

***

For KNaNpCl6, a crystal structure in Alexandria, relaxed with PBE gives the calculated XRD peak list in this record (copper Kα).
Lines closer than 0.1° are merged.

Cell and atoms:
Cell lengths 7.1629, 7.1629, 13.5405 Å; angles 90.00, 90.00, 120.00 degrees
Element x y z (fractional)
K  0.0000  0.0000  0.0000
K  0.0000  0.0000  0.5000
Na  0.3333  0.6667  0.2500
Na  0.6667  0.3333  0.7500
Np  0.3333  0.6667  0.7500
Np  0.6667  0.3333  0.2500
Cl  0.0242  0.3760  0.6393
Cl  0.0242  0.6482  0.8607
Cl  0.3518  0.3760  0.8607
Cl  0.3518  0.9758  0.6393
Cl  0.3760  0.0242  0.1393
Cl  0.3760  0.3518  0.3607
Cl  0.6240  0.6482  0.6393
Cl  0.6240  0.9758  0.8607
Cl  0.6482  0.0242  0.3607
Cl  0.6482  0.6240  0.1393
Cl  0.9758  0.3518  0.1393
Cl  0.9758  0.6240  0.3607

Peak list (8 most intense, 10 to 80 degrees two-theta, sorted by position)
13.1°, d 6.770, rel. 44
14.3°, d 6.203, rel. 20
15.7°, d 5.640, rel. 100
19.4°, d 4.574, rel. 52
24.4°, d 3.650, rel. 28
28.2°, d 3.166, rel. 48
36.5°, d 2.460, rel. 54
43.8°, d 2.068, rel. 23

***

For Th2Zn7, a crystal structure in Alexandria, relaxed with PBE gives the calculated XRD peak list in this record (copper Kα).
Lines closer than 0.1° are merged.

Cell and atoms:
Cell lengths 13.2836, 13.2836, 13.2836 Å; angles 23.94, 23.94, 23.94 degrees
Element x y z (fractional)
Th  0.0515  0.0515  0.0515
Th  0.1504  0.1504  0.1504
Th  0.8496  0.8496  0.8496
Th  0.9485  0.9485  0.9485
Zn  0.0000  0.5000  0.5000
Zn  0.1036  0.6112  0.6112
Zn  0.2794  0.2794  0.2794
Zn  0.3886  0.3886  0.3886
Zn  0.3888  0.3888  0.8964
Zn  0.3888  0.8964  0.3888
Zn  0.5000  0.0000  0.5000
Zn  0.5000  0.5000  0.0000
Zn  0.5000  0.5000  0.5000
Zn  0.6112  0.1036  0.6112
Zn  0.6112  0.6112  0.1036
Zn  0.6114  0.6114  0.6114
Zn  0.7206  0.7206  0.7206
Zn  0.8964  0.3888  0.3888

Peak list (8 most intense, 10 to 80 degrees two-theta, sorted by position)
29.7°, d 3.006, rel. 44
31.6°, d 2.831, rel. 29
32.5°, d 2.756, rel. 51
37.8°, d 2.382, rel. 33
38.8°, d 2.320, rel. 100
56.3°, d 1.635, rel. 16
62.2°, d 1.492, rel. 24
68.0°, d 1.378, rel. 20

***

For CdSn4Pb2, a crystal structure in Alexandria, relaxed with PBE gives the calculated XRD peak list in this record (copper Kα).
Lines closer than 0.1° are merged.

Cell and atoms:
Cell lengths 11.0623, 11.0623, 3.3690 Å; angles 90.00, 90.00, 150.24 degrees
Element x y z (fractional)
Cd  0.0000  0.0000  0.0000
Sn  0.1227  0.8773  0.5000
Sn  0.4238  0.5762  0.0000
Sn  0.5762  0.4238  0.0000
Sn  0.8773  0.1227  0.5000
Pb  0.2884  0.7116  0.5000
Pb  0.7116  0.2884  0.5000

Peak list (8 most intense, 10 to 80 degrees two-theta, sorted by position)
27.8°, d 3.213, rel. 55
31.5°, d 2.841, rel. 55
33.3°, d 2.690, rel. 77
37.5°, d 2.399, rel. 100
42.5°, d 2.128, rel. 36
60.1°, d 1.540, rel. 26
65.4°, d 1.428, rel. 23
68.1°, d 1.378, rel. 22